Diffraction record for K8O6F. The powder X-ray diffraction pattern is theoretical, not measured: it uses the PBE geometry in Alexandria and Cu Kα X-rays.

Atomic structure:
```
data_K8O6F
_space_group_name_H-M_alt 'R -3'
_space_group_IT_number 148
_space_group_name_Hall '-R 3'
_cell_length_a 8.5423
_cell_length_b 8.5423
_cell_length_c 15.1466
_cell_angle_alpha 90.00
_cell_angle_beta 90.00
_cell_angle_gamma 120.00
loop_
_atom_site_label
_atom_site_fract_x
_atom_site_fract_y
_atom_site_fract_z
_atom_site_occupancy
K1 0.0000 0.0000 0.1720 1
K2 0.0386 0.7521 0.5909 1
O1 0.0016 0.5866 0.4342 1
F1 0.0000 0.0000 0.5000 1
```

Top 10 peaks for 2θ = 15–90°, by intensity:
h k l, d/Å, intensity
1 1 3, 3.261, 100
2 -1 6, 2.173, 78
3 -1 1, 2.750, 69
3 0 0, 2.466, 63
3 -2 2, 2.623, 44
0 0 3, 5.049, 25
1 3 1, 2.033, 24
3 1 5, 1.699, 23
2 1 4, 2.249, 19
2 -1 9, 1.567, 17

=====

Diffraction record for KO2F8. The powder X-ray diffraction pattern is theoretical, not measured: it uses the PBE geometry in Alexandria and Cu Kα X-rays.

Atomic structure:
```
data_KO2F8
_space_group_name_H-M_alt 'C 1 2/c 1'
_space_group_IT_number 15
_cell_length_a 13.5041
_cell_length_b 4.8861
_cell_length_c 11.1478
_cell_angle_alpha 90.00
_cell_angle_beta 107.01
_cell_angle_gamma 90.00
loop_
_space_group_symop_operation_xyz
'x,y,z'
'-x,-y,-z'
'-x,y,-z+1/2'
'x,-y,z+1/2'
'x+1/2,y+1/2,z'
'-x+1/2,-y+1/2,-z'
'-x+1/2,y+1/2,-z+1/2'
'x+1/2,-y+1/2,z+1/2'
loop_
_atom_site_label
_atom_site_fract_x
_atom_site_fract_y
_atom_site_fract_z
_atom_site_occupancy
K1 0.0000 0.0144 0.2500 1
O1 0.1762 0.3986 0.5459 1
F1 0.0424 0.1163 0.5145 1
F2 0.0762 0.4845 0.7949 1
F3 0.1610 0.3234 0.0711 1
F4 0.2424 0.2937 0.6620 1
```

Top 10 peaks for 2θ = 15–90°, by intensity:
h k l, d/Å, intensity
2 0 -4, 2.765, 100
3 1 0, 3.230, 97
4 0 -2, 3.208, 53
2 2 0, 2.285, 38
2 0 2, 3.623, 27
2 2 -2, 2.184, 27
1 1 4, 2.205, 21
3 1 -2, 3.078, 21
5 1 2, 1.926, 19
3 1 3, 2.165, 16

=====

Diffraction record for K2OF3. The powder X-ray diffraction pattern is theoretical, not measured: it uses the PBE geometry in Alexandria and Cu Kα X-rays.

Atomic structure:
```
data_K2OF3
_space_group_name_H-M_alt 'P -1'
_space_group_IT_number 2
_cell_length_a 5.3373
_cell_length_b 6.7045
_cell_length_c 7.7705
_cell_angle_alpha 69.13
_cell_angle_beta 86.10
_cell_angle_gamma 68.93
loop_
_space_group_symop_operation_xyz
'x,y,z'
'-x,-y,-z'
loop_
_atom_site_label
_atom_site_fract_x
_atom_site_fract_y
_atom_site_fract_z
_atom_site_occupancy
K1 0.0339 0.4567 0.2397 1
K2 0.3317 0.8849 0.8914 1
O1 0.4768 0.5827 0.4329 1
F1 0.1403 0.1745 0.0647 1
F2 0.2517 0.2610 0.5907 1
F3 0.4783 0.5028 0.7986 1
```

Top 10 peaks for 2θ = 15–90°, by intensity:
h k l, d/Å, intensity
2 1 0, 2.656, 100
0 1 -2, 2.680, 89
0 2 2, 2.818, 62
0 1 -1, 3.917, 60
0 1 0, 5.845, 60
0 2 3, 2.309, 55
-1 1 1, 3.280, 48
-2 1 2, 1.932, 30
0 1 4, 1.936, 30
2 0 2, 1.986, 30

=====

Diffraction record for K5OsO4F2. The powder X-ray diffraction pattern is theoretical, not measured: it uses the PBE geometry in Alexandria and Cu Kα X-rays.

Atomic structure:
```
data_K5OsO4F2
_space_group_name_H-M_alt 'A m m 2'
_space_group_IT_number 38
_cell_length_a 7.3457
_cell_length_b 10.3968
_cell_length_c 6.4846
_cell_angle_alpha 90.00
_cell_angle_beta 90.00
_cell_angle_gamma 90.00
loop_
_space_group_symop_operation_xyz
'x,y,z'
'-x,-y,z'
'-x,y,z'
'x,-y,z'
'x,y+1/2,z+1/2'
'-x,-y+1/2,z+1/2'
'-x,y+1/2,z+1/2'
'x,-y+1/2,z+1/2'
loop_
_atom_site_label
_atom_site_fract_x
_atom_site_fract_y
_atom_site_fract_z
_atom_site_occupancy
K1 0.0000 0.0000 0.0000 1
K2 0.2581 0.1831 0.4808 1
Os1 0.5000 0.0000 0.9813 1
O1 0.3290 0.0000 0.2040 1
O2 0.5000 0.1435 0.8220 1
F1 0.0000 0.2041 0.7557 1
```

Top 10 peaks for 2θ = 15–90°, by intensity:
h k l, d/Å, intensity
0 3 1, 3.056, 100
0 1 1, 5.502, 39
2 2 2, 2.202, 35
1 1 1, 4.404, 34
4 0 0, 1.834, 27
1 2 0, 4.243, 22
2 2 0, 3.000, 22
2 5 1, 1.743, 18
0 0 2, 3.242, 16
4 3 1, 1.574, 10

=====

Diffraction record for KOsO4F. The powder X-ray diffraction pattern is theoretical, not measured: it uses the PBE geometry in Alexandria and Cu Kα X-rays.

Atomic structure:
```
data_KOsO4F
_space_group_name_H-M_alt 'C 1 2/m 1'
_space_group_IT_number 12
_cell_length_a 8.9541
_cell_length_b 8.6295
_cell_length_c 7.8730
_cell_angle_alpha 90.00
_cell_angle_beta 98.24
_cell_angle_gamma 90.00
loop_
_space_group_symop_operation_xyz
'x,y,z'
'-x,-y,-z'
'-x,y,-z'
'x,-y,z'
'x+1/2,y+1/2,z'
'-x+1/2,-y+1/2,-z'
'-x+1/2,y+1/2,-z'
'x+1/2,-y+1/2,z'
loop_
_atom_site_label
_atom_site_fract_x
_atom_site_fract_y
_atom_site_fract_z
_atom_site_occupancy
K1 0.1699 0.0000 0.1767 1
Os1 0.1666 0.5000 0.2555 1
O1 0.0138 0.5000 0.6854 1
O2 0.1573 0.3273 0.1400 1
O3 0.2220 0.0000 0.5449 1
F1 0.1158 0.0000 0.8328 1
```

Top 10 peaks for 2θ = 15–90°, by intensity:
h k l, d/Å, intensity
0 2 0, 4.315, 100
1 1 1, 4.623, 99
1 1 -1, 5.098, 76
0 0 2, 3.896, 56
0 2 2, 2.892, 48
2 0 -1, 4.113, 46
2 0 1, 3.634, 38
2 2 -1, 2.977, 30
1 1 3, 2.313, 24
2 0 0, 4.431, 24